For LaCr4Co3O12, DFT lattice parameters and positions (PBE+U) gives the theoretical PXRD pattern in this record (Cu Ka).
Intensities are scaled so that the largest is 100.

Crystal structure
```
data_LaCr4Co3O12
_chemical_formula_sum 'La2 Cr8 Co6 O24'
_space_group_name_H-M_alt 'I m -3'
_space_group_IT_number 204
_space_group_name_Hall '-I 2 2 3'
_cell_length_a 7.4657
_cell_length_b 7.4657
_cell_length_c 7.4657
_cell_angle_alpha 90.00
_cell_angle_beta 90.00
_cell_angle_gamma 90.00
loop_
_atom_site_label
_atom_site_type_symbol
_atom_site_fract_x
_atom_site_fract_y
_atom_site_fract_z
La1 La 0.0000 0.0000 0.0000
Cr1 Cr 0.2500 0.2500 0.2500
Co1 Co 0.0000 0.0000 0.5000
O1 O 0.0000 0.1721 0.3107
```

Most intense lines, 2θ from 10° to 90°, in order of rising 2θ:
index, Position (°2θ), I_rel
1 1 0, 16.8, 11.1
2 0 0, 23.8, 3.8
2 2 0, 34.0, 100.0
3 1 0, 38.1, 11.2
2 2 2, 41.9, 5.6
3 2 1, 45.5, 10.3
4 0 0, 48.8, 24.7
4 2 2, 60.8, 47.7
4 4 0, 71.5, 11.6
6 0 2, 81.5, 15.9